Entry 1:
For Cs3Pa2S7, the GGA-PBE geometry in Alexandria gives the computed X-ray powder pattern in this record (Cu Kα).
No peak broadening, texture or thermal motion is included.

Atomic structure:
a b c (Å): 14.2625 14.2625 5.3175
angles (deg): 90.00 90.00 158.37
Element x y z (fractional)
Cs 0.0000 0.0000 0.0000
Cs 0.1866 0.8134 0.0000
Cs 0.8134 0.1866 0.0000
Pa 0.4038 0.5962 0.5000
Pa 0.5962 0.4038 0.5000
S 0.0940 0.9060 0.5000
S 0.3143 0.6857 0.5000
S 0.4062 0.5938 0.0000
S 0.5000 0.5000 0.5000
S 0.5938 0.4062 0.0000
S 0.6857 0.3143 0.5000
S 0.9060 0.0940 0.5000

Largest 8 diffraction maxima, sorted by position, 2θ = 5–70°:
20.98 deg, intensity 41.4
22.98 deg, intensity 93.1
23.80 deg, intensity 100.0
25.40 deg, intensity 71.8
33.48 deg, intensity 40.5
33.71 deg, intensity 39.7
41.19 deg, intensity 41.8
42.84 deg, intensity 41.8


Entry 2:
For NiH6RhPb2, the GGA-PBE geometry in Alexandria gives the computed X-ray powder pattern in this record (Cu Kα).
No peak broadening, texture or thermal motion is included.

Atomic structure:
a b c (Å): 5.5607 5.5607 5.5607
angles (deg): 126.78 126.78 78.61
Element x y z (fractional)
Ni 0.0000 0.0000 0.0000
H 0.2508 0.2508 0.4877
H 0.2508 0.7631 0.0000
H 0.3144 0.3144 0.0000
H 0.7631 0.2508 0.0000
H 0.7631 0.7631 0.5123
H 0.8170 0.8170 0.0000
Rh 0.5041 0.5041 0.0000
Pb 0.2416 0.7416 0.5000
Pb 0.7416 0.2416 0.5000

Largest 8 diffraction maxima, sorted by position, 2θ = 5–70°:
20.64 deg, intensity 13.8
25.28 deg, intensity 15.3
32.86 deg, intensity 100.0
36.06 deg, intensity 39.5
42.00 deg, intensity 12.9
51.92 deg, intensity 14.6
56.51 deg, intensity 25.2
62.82 deg, intensity 31.4


Entry 3:
For UFe2Si2Os, the GGA-PBE geometry in Alexandria gives the computed X-ray powder pattern in this record (Cu Kα).
No peak broadening, texture or thermal motion is included.

Atomic structure:
a b c (Å): 4.6045 4.6045 5.1045
angles (deg): 90.00 90.00 90.00
Element x y z (fractional)
U 0.0000 0.0000 0.0000
Fe 0.5000 0.5000 0.2622
Fe 0.5000 0.5000 0.7378
Si 0.0000 0.5000 0.5000
Si 0.5000 0.0000 0.5000
Os 0.0000 0.0000 0.5000

Largest 8 diffraction maxima, sorted by position, 2θ = 5–70°:
19.28 deg, intensity 86.0
27.39 deg, intensity 100.0
39.13 deg, intensity 60.5
40.41 deg, intensity 89.8
43.97 deg, intensity 22.5
56.53 deg, intensity 20.6
57.51 deg, intensity 63.9
63.94 deg, intensity 18.7


Entry 4:
For Pr2MgGa3Rh4, the GGA-PBE geometry in Alexandria gives the computed X-ray powder pattern in this record (Cu Kα).
No peak broadening, texture or thermal motion is included.

Atomic structure:
a b c (Å): 4.2731 4.2731 10.5093
angles (deg): 90.00 90.00 90.00
Element x y z (fractional)
Pr 0.0000 0.5000 0.2371
Pr 0.5000 0.0000 0.7629
Mg 0.0000 0.0000 0.5000
Ga 0.0000 0.5000 0.8781
Ga 0.5000 0.0000 0.1219
Ga 0.5000 0.5000 0.5000
Rh 0.0000 0.0000 0.0000
Rh 0.0000 0.5000 0.6402
Rh 0.5000 0.0000 0.3598
Rh 0.5000 0.5000 0.0000

Largest 8 diffraction maxima, sorted by position, 2θ = 5–70°:
29.56 deg, intensity 20.7
33.07 deg, intensity 67.0
34.23 deg, intensity 100.0
42.30 deg, intensity 64.2
48.25 deg, intensity 29.9
54.71 deg, intensity 31.5
61.37 deg, intensity 20.9
66.08 deg, intensity 23.0


Entry 5:
For PmErSiSe, the GGA-PBE geometry in Alexandria gives the computed X-ray powder pattern in this record (Cu Kα).
No peak broadening, texture or thermal motion is included.

Atomic structure:
a b c (Å): 4.1429 4.1429 20.5778
angles (deg): 90.00 90.00 120.00
Element x y z (fractional)
Pm 0.0000 0.0000 0.0000
Pm 0.3333 0.6667 0.6667
Pm 0.6667 0.3333 0.3333
Er 0.0000 0.0000 0.5086
Er 0.3333 0.6667 0.1753
Er 0.6667 0.3333 0.8420
Si 0.0000 0.0000 0.2516
Si 0.3333 0.6667 0.9183
Si 0.6667 0.3333 0.5850
Se 0.0000 0.0000 0.7582
Se 0.3333 0.6667 0.4248
Se 0.6667 0.3333 0.0915

Largest 8 diffraction maxima, sorted by position, 2θ = 5–70°:
25.98 deg, intensity 11.2
26.31 deg, intensity 33.4
30.37 deg, intensity 100.0
43.28 deg, intensity 36.6
43.70 deg, intensity 37.1
51.54 deg, intensity 10.8
54.14 deg, intensity 19.5
63.19 deg, intensity 11.9


Entry 6:
For Tb9PrDy2, the GGA-PBE geometry in Alexandria gives the computed X-ray powder pattern in this record (Cu Kα).
No peak broadening, texture or thermal motion is included.

Atomic structure:
a b c (Å): 11.2888 11.2888 3.5218
angles (deg): 90.00 90.00 120.00
Element x y z (fractional)
Tb 0.0000 0.5000 0.0000
Tb 0.1777 0.3554 0.5000
Tb 0.1777 0.8223 0.5000
Tb 0.3554 0.1777 0.5000
Tb 0.5000 0.0000 0.0000
Tb 0.5000 0.5000 0.0000
Tb 0.6446 0.8223 0.5000
Tb 0.8223 0.1777 0.5000
Tb 0.8223 0.6446 0.5000
Pr 0.0000 0.0000 0.0000
Dy 0.3333 0.6667 0.0000
Dy 0.6667 0.3333 0.0000

Largest 8 diffraction maxima, sorted by position, 2θ = 5–70°:
29.90 deg, intensity 25.7
31.30 deg, intensity 52.3
31.71 deg, intensity 100.0
35.20 deg, intensity 20.8
45.16 deg, intensity 17.8
56.22 deg, intensity 18.1
56.48 deg, intensity 17.4
62.13 deg, intensity 29.3